1.
This entry pairs a crystal structure of LiCoCuF6 with its computed powder X-ray diffraction pattern. Radiation: a wavelength of 1.5418 Å. Structure: a cell relaxed with PBE+U.
Neutral-atom scattering factors, no anomalous dispersion.

Largest 10 diffraction maxima, by angle, 2θ from 5° to 70°:
2θ/deg, d/Å, I (rel.)
18.75, 4.732, 243
21.43, 4.147, 715
27.34, 3.262, 1000
33.36, 2.686, 190
34.44, 2.604, 546
39.75, 2.268, 375
44.97, 2.016, 164
53.04, 1.727, 713
56.41, 1.631, 251
67.79, 1.382, 267

Crystal structure
a = 4.613 Å, b = 4.613 Å, c = 9.464 Å
α = 90.00°, β = 90.00°, γ = 90.00°
Element x y z (fractional)
1 Li 0.000 0.000 0.000
2 Li 0.500 0.500 0.500
3 Co 0.000 0.000 0.665
4 Co 0.500 0.500 0.165
5 Cu 0.000 0.000 0.333
6 Cu 0.500 0.500 0.833
7 F 0.197 0.197 0.510
8 F 0.205 0.205 0.825
9 F 0.214 0.214 0.168
10 F 0.286 0.714 0.668
11 F 0.295 0.705 0.325
12 F 0.303 0.697 0.010
13 F 0.697 0.303 0.010
14 F 0.705 0.295 0.325
15 F 0.714 0.286 0.668
16 F 0.786 0.786 0.168
17 F 0.795 0.795 0.825
18 F 0.803 0.803 0.510

=====

2.
This entry pairs a crystal structure of Li4Fe2Co3Cu3O16 with its computed powder X-ray diffraction pattern. Radiation: a wavelength of 1.5418 Å. Structure: a cell relaxed with PBE+U.
Neutral-atom scattering factors, no anomalous dispersion.

Largest 10 diffraction maxima, by angle, 2θ from 5° to 70°:
2θ/deg, d/Å, I (rel.)
18.88, 4.700, 1000
19.99, 4.443, 431
20.25, 4.385, 573
35.92, 2.500, 378
36.61, 2.455, 372
37.07, 2.425, 272
37.38, 2.406, 272
46.10, 1.969, 276
46.86, 1.939, 247
64.15, 1.452, 343

Crystal structure
a = 5.809 Å, b = 5.809 Å, c = 9.404 Å
α = 91.59°, β = 91.59°, γ = 59.38°
Element x y z (fractional)
1 Li 0.000 0.000 0.000
2 Li 0.002 0.002 0.503
3 Li 0.334 0.334 0.398
4 Li 0.664 0.664 0.899
5 Fe 0.335 0.335 0.997
6 Fe 0.671 0.671 0.498
7 Co 0.170 0.170 0.718
8 Co 0.338 0.832 0.218
9 Co 0.832 0.338 0.218
10 Cu 0.170 0.662 0.719
11 Cu 0.662 0.170 0.719
12 Cu 0.832 0.832 0.220
13 O 0.007 0.007 0.314
14 O 0.008 0.008 0.811
15 O 0.034 0.470 0.844
16 O 0.160 0.160 0.115
17 O 0.173 0.678 0.107
18 O 0.328 0.328 0.615
19 O 0.331 0.850 0.606
20 O 0.470 0.034 0.844
21 O 0.480 0.480 0.847
22 O 0.506 0.962 0.341
23 O 0.519 0.519 0.331
24 O 0.662 0.662 0.114
25 O 0.678 0.173 0.107
26 O 0.841 0.841 0.601
27 O 0.850 0.331 0.606
28 O 0.962 0.506 0.341

=====

3.
This entry pairs a crystal structure of Li4Fe3Co2Cu3O16 with its computed powder X-ray diffraction pattern. Radiation: a wavelength of 1.5418 Å. Structure: a cell relaxed with PBE+U.
Neutral-atom scattering factors, no anomalous dispersion.

Largest 10 diffraction maxima, by angle, 2θ from 5° to 70°:
2θ/deg, d/Å, I (rel.)
19.13, 4.640, 611
20.00, 4.440, 1000
20.11, 4.416, 226
33.90, 2.644, 214
36.32, 2.474, 399
36.86, 2.438, 571
46.29, 1.961, 363
46.50, 1.953, 230
61.88, 1.499, 246
63.89, 1.457, 296

Crystal structure
a = 5.827 Å, b = 5.829 Å, c = 9.280 Å
α = 89.59°, β = 89.59°, γ = 60.13°
Element x y z (fractional)
1 Li 0.000 0.000 0.000
2 Li 0.004 0.003 0.495
3 Li 0.346 0.344 0.592
4 Li 0.675 0.674 0.094
5 Fe 0.177 0.176 0.277
6 Fe 0.348 0.837 0.776
7 Fe 0.838 0.347 0.776
8 Co 0.339 0.339 0.005
9 Co 0.677 0.676 0.503
10 Cu 0.182 0.661 0.279
11 Cu 0.662 0.181 0.279
12 Cu 0.835 0.834 0.779
13 O 0.051 0.481 0.138
14 O 0.176 0.176 0.891
15 O 0.183 0.662 0.897
16 O 0.344 0.342 0.382
17 O 0.351 0.840 0.395
18 O 0.482 0.050 0.137
19 O 0.484 0.484 0.136
20 O 0.528 0.964 0.637
21 O 0.531 0.530 0.641
22 O 0.662 0.184 0.897
23 O 0.678 0.677 0.886
24 O 0.834 0.833 0.397
25 O 0.840 0.351 0.395
26 O 0.966 0.526 0.637
27 O 0.999 0.999 0.193
28 O 0.999 0.999 0.687

=====

4.
This entry pairs a crystal structure of Li4Fe3Co3Cu2O16 with its computed powder X-ray diffraction pattern. Radiation: a wavelength of 1.5418 Å. Structure: a cell relaxed with PBE+U.
Neutral-atom scattering factors, no anomalous dispersion.

Largest 10 diffraction maxima, by angle, 2θ from 5° to 70°:
2θ/deg, d/Å, I (rel.)
18.58, 4.775, 975
19.94, 4.453, 1000
20.04, 4.431, 724
33.42, 2.681, 330
36.11, 2.488, 334
36.35, 2.472, 656
37.08, 2.425, 728
46.20, 1.965, 419
61.16, 1.515, 390
64.22, 1.450, 412

Crystal structure
a = 5.802 Å, b = 5.802 Å, c = 9.550 Å
α = 90.44°, β = 90.44°, γ = 59.75°
Element x y z (fractional)
1 Li 0.000 0.000 0.000
2 Li 0.002 0.002 0.498
3 Li 0.348 0.348 0.596
4 Li 0.683 0.683 0.099
5 Fe 0.180 0.180 0.281
6 Fe 0.352 0.842 0.782
7 Fe 0.842 0.352 0.782
8 Co 0.185 0.669 0.283
9 Co 0.669 0.185 0.283
10 Co 0.841 0.841 0.783
11 Cu 0.341 0.341 0.008
12 Cu 0.673 0.673 0.506
13 O 0.004 0.004 0.685
14 O 0.006 0.006 0.186
15 O 0.054 0.503 0.160
16 O 0.168 0.680 0.889
17 O 0.172 0.172 0.897
18 O 0.336 0.834 0.392
19 O 0.349 0.349 0.388
20 O 0.493 0.493 0.170
21 O 0.503 0.054 0.160
22 O 0.532 0.532 0.655
23 O 0.545 0.971 0.657
24 O 0.680 0.168 0.889
25 O 0.682 0.682 0.893
26 O 0.834 0.336 0.392
27 O 0.849 0.849 0.382
28 O 0.971 0.545 0.657

=====

5.
This entry pairs a crystal structure of Sr2GdCoCu2O7 with its computed powder X-ray diffraction pattern. Radiation: a wavelength of 1.5418 Å. Structure: a cell relaxed with PBE+U.
Neutral-atom scattering factors, no anomalous dispersion.

Largest 10 diffraction maxima, by angle, 2θ from 5° to 70°:
2θ/deg, d/Å, I (rel.)
7.68, 11.518, 403
22.88, 3.887, 57
32.36, 2.766, 221
32.79, 2.732, 1000
38.92, 2.314, 196
46.73, 1.944, 244
47.39, 1.919, 103
57.99, 1.590, 139
58.53, 1.577, 202
68.73, 1.366, 101

Crystal structure
a = 12.156 Å, b = 12.156 Å, c = 5.463 Å
α = 102.99°, β = 102.99°, γ = 142.69°
Element x y z (fractional)
1 Sr 0.097 0.903 0.000
2 Sr 0.379 0.574 0.977
3 Sr 0.574 0.379 0.977
4 Sr 0.903 0.097 0.000
5 Gd 0.239 0.739 0.989
6 Gd 0.739 0.239 0.989
7 Co 0.550 0.550 0.583
8 Co 0.926 0.926 0.458
9 Cu 0.166 0.811 0.488
10 Cu 0.311 0.666 0.488
11 Cu 0.666 0.311 0.488
12 Cu 0.811 0.166 0.488
13 O 0.050 0.423 0.987
14 O 0.054 0.428 0.492
15 O 0.103 0.954 0.505
16 O 0.375 0.523 0.428
17 O 0.423 0.050 0.987
18 O 0.428 0.054 0.492
19 O 0.523 0.375 0.428
20 O 0.554 0.922 0.487
21 O 0.556 0.923 0.988
22 O 0.609 0.609 0.991
23 O 0.866 0.866 0.747
24 O 0.922 0.554 0.487
25 O 0.923 0.556 0.988
26 O 0.954 0.103 0.505

=====

Q: Which formula does entry 1 have?
A: LiCoCuF6

=====

Copy entry 4 word for word.
This entry pairs a crystal structure of Li4Fe3Co3Cu2O16 with its computed powder X-ray diffraction pattern. Radiation: a wavelength of 1.5418 Å. Structure: a cell relaxed with PBE+U.
Neutral-atom scattering factors, no anomalous dispersion.

Largest 10 diffraction maxima, by angle, 2θ from 5° to 70°:
2θ/deg, d/Å, I (rel.)
18.58, 4.775, 975
19.94, 4.453, 1000
20.04, 4.431, 724
33.42, 2.681, 330
36.11, 2.488, 334
36.35, 2.472, 656
37.08, 2.425, 728
46.20, 1.965, 419
61.16, 1.515, 390
64.22, 1.450, 412

Crystal structure
a = 5.802 Å, b = 5.802 Å, c = 9.550 Å
α = 90.44°, β = 90.44°, γ = 59.75°
Element x y z (fractional)
1 Li 0.000 0.000 0.000
2 Li 0.002 0.002 0.498
3 Li 0.348 0.348 0.596
4 Li 0.683 0.683 0.099
5 Fe 0.180 0.180 0.281
6 Fe 0.352 0.842 0.782
7 Fe 0.842 0.352 0.782
8 Co 0.185 0.669 0.283
9 Co 0.669 0.185 0.283
10 Co 0.841 0.841 0.783
11 Cu 0.341 0.341 0.008
12 Cu 0.673 0.673 0.506
13 O 0.004 0.004 0.685
14 O 0.006 0.006 0.186
15 O 0.054 0.503 0.160
16 O 0.168 0.680 0.889
17 O 0.172 0.172 0.897
18 O 0.336 0.834 0.392
19 O 0.349 0.349 0.388
20 O 0.493 0.493 0.170
21 O 0.503 0.054 0.160
22 O 0.532 0.532 0.655
23 O 0.545 0.971 0.657
24 O 0.680 0.168 0.889
25 O 0.682 0.682 0.893
26 O 0.834 0.336 0.392
27 O 0.849 0.849 0.382
28 O 0.971 0.545 0.657

=====

Q: Which formula does entry 2 have?
A: Li4Fe2Co3Cu3O16